Entry 1:
Structure and calculated PXRD pattern of Cu5Ge2 (DFT lattice parameters and positions (PBE); Cu Kα (λ = 1.5418 Å)).
Neutral-atom scattering factors, no anomalous dispersion.

Cell lengths 4.1136, 4.1136, 19.7535 Å; angles 90.00, 90.00, 120.00 degrees
Space group R3m (No. 160, hexagonal axes)
Asymmetric unit:
1 Cu 0.0000 0.0000 0.0000 (multiplicity 3)
2 Cu 0.0000 0.0000 0.1235 (multiplicity 3)
3 Cu 0.0000 0.0000 0.4859 (multiplicity 3)
4 Cu 0.0000 0.0000 0.6159 (multiplicity 3)
5 Cu 0.0000 0.0000 0.8697 (multiplicity 3)
6 Ge 0.0000 0.0000 0.2532 (multiplicity 3)
7 Ge 0.0000 0.0000 0.7403 (multiplicity 3)

Principal peaks in the range 15° ≤ 2θ ≤ 90°, low angle first:
- 3.351 Å, intensity 7
- 2.646 Å, intensity 7
- 2.212 Å, intensity 12
- 2.057 Å, intensity 100
- 2.029 Å, intensity 88
- 1.445 Å, intensity 27
- 1.188 Å, intensity 15
- 1.182 Å, intensity 27
- 1.167 Å, intensity 10
- 1.109 Å, intensity 7

Entry 2:
Structure and calculated PXRD pattern of HfCuGe (DFT lattice parameters and positions (PBE); Cu Kα (λ = 1.5418 Å)).
Neutral-atom scattering factors, no anomalous dispersion.

Cell lengths 3.7853, 3.7853, 13.5617 Å; angles 90.00, 90.00, 90.00 degrees
Space group I4/mmm (No. 139)
Asymmetric unit:
1 Hf 0.0000 0.0000 0.1703 (multiplicity 4)
2 Cu 0.0000 0.5000 0.0000 (multiplicity 4)
3 Ge 0.0000 0.0000 0.3730 (multiplicity 4)

Principal peaks in the range 15° ≤ 2θ ≤ 90°, low angle first:
- 2.902 Å, intensity 75
- 2.677 Å, intensity 70
- 2.490 Å, intensity 96
- 2.260 Å, intensity 41
- 2.205 Å, intensity 59
- 2.101 Å, intensity 100
- 1.893 Å, intensity 78
- 1.451 Å, intensity 39
- 1.436 Å, intensity 30
- 1.126 Å, intensity 28

Entry 3:
Structure and calculated PXRD pattern of HfCuGe (DFT lattice parameters and positions (PBE); Cu Kα (λ = 1.5418 Å)).
Neutral-atom scattering factors, no anomalous dispersion.

Cell lengths 6.4950, 3.9933, 7.4632 Å; angles 90.00, 90.00, 90.00 degrees
Space group Pnma (No. 62)
Asymmetric unit:
1 Hf 0.0164 0.2500 0.1935 (multiplicity 4)
2 Cu 0.1641 0.2500 0.5714 (multiplicity 4)
3 Ge 0.2295 0.7500 0.3928 (multiplicity 4)

Principal peaks in the range 15° ≤ 2θ ≤ 90°, low angle first:
- 3.521 Å, intensity 22
- 2.515 Å, intensity 62
- 2.450 Å, intensity 31
- 2.387 Å, intensity 100
- 2.323 Å, intensity 23
- 2.112 Å, intensity 35
- 2.079 Å, intensity 14
- 1.997 Å, intensity 31
- 1.548 Å, intensity 15
- 1.332 Å, intensity 19

> Number 1 is which compound?

Cu5Ge2